Entry 1:
# Cu2BrCl2
Theoretical PXRD pattern, copper Kα. Input: a cell relaxed with PBE.

Most intense lines, 2θ from 5° to 70°, low angle first:
hkl, Position (°2θ), I/Imax
0 1 0, 14.96, 95.5
1 0 1, 16.91, 65.5
2 1 0, 30.25, 86.0
-1 1 1, 34.13, 20.8
1 2 2, 34.33, 100.0
3 1 1, 41.79, 22.1
1 2 -2, 45.28, 42.7
3 3 2, 47.50, 22.6

Cell and atoms:
a b c (Å): 6.6880 6.7973 6.9818
angles (deg): 76.67 62.08 60.57
Space group P-1 (No. 2)
Unique sites:
1 Cu 0.1268 0.1385 0.0030 [2 per cell]
2 Cu 0.2373 0.1383 0.4961 [2 per cell]
3 Br 0.3502 0.7987 0.7505 [2 per cell]
4 Cl 0.0526 0.3962 0.7497 [2 per cell]
5 Cl 0.2747 0.9513 0.2500 [2 per cell]

---

Entry 2:
# K2CuBr2Cl2
Theoretical PXRD pattern, copper Kα. Input: a cell relaxed with PBE.

Most intense lines, 2θ from 5° to 70°, low angle first:
hkl, Position (°2θ), I/Imax
1 1 1, 15.95, 80.1
2 0 0, 20.86, 67.5
2 0 2, 26.56, 92.9
2 2 2, 32.21, 100.0
0 0 4, 32.85, 51.2
0 4 0, 36.26, 46.8
2 4 2, 45.51, 41.6
0 4 4, 49.73, 29.5

Cell and atoms:
a b c (Å): 8.5167 9.9103 10.9041
angles (deg): 90.00 90.00 90.00
Space group Fmmm (No. 69)
Unique sites:
1 K 0.2500 0.2500 0.2500 [8 per cell]
2 Cu 0.0000 0.0000 0.0000 [4 per cell]
3 Br 0.0000 0.2490 0.0000 [8 per cell]
4 Cl 0.0000 0.0000 0.2084 [8 per cell]

---

Entry 3:
# NaCuBrCl
Theoretical PXRD pattern, copper Kα. Input: a cell relaxed with PBE.

Most intense lines, 2θ from 5° to 70°, low angle first:
hkl, Position (°2θ), I/Imax
0 1 0, 21.99, 38.9
1 0 -1, 24.50, 100.0
1 0 1, 26.66, 54.5
0 0 2, 30.00, 56.2
1 1 0, 30.40, 82.4
1 1 -1, 33.16, 60.8
1 1 2, 44.59, 61.1
1 2 -1, 51.78, 45.7

Cell and atoms:
a b c (Å): 4.3008 4.0421 5.9800
angles (deg): 90.00 95.04 90.00
Space group Pm (No. 6)
Unique sites:
1 Na 0.0000 0.0000 0.0000 [1 per cell]
2 Cu 0.7872 0.5000 0.4071 [1 per cell]
3 Br 0.5007 0.5000 0.0393 [1 per cell]
4 Cl 0.9530 0.0000 0.5315 [1 per cell]

---

Entry 4:
# Na2CuBr2Cl2
Theoretical PXRD pattern, copper Kα. Input: a cell relaxed with PBE.

Most intense lines, 2θ from 5° to 70°, low angle first:
hkl, Position (°2θ), I/Imax
0 0 1, 14.66, 35.0
1 0 1, 22.36, 22.4
1 1 1, 28.09, 37.7
0 0 2, 29.57, 73.3
2 0 0, 33.95, 100.0
2 0 2, 45.64, 83.1
2 2 0, 48.78, 33.8
2 2 2, 58.08, 38.7

Cell and atoms:
a b c (Å): 5.2806 5.2806 6.0411
angles (deg): 90.00 90.00 90.00
Space group P4/mmm (No. 123)
Unique sites:
1 Na 0.0000 0.5000 0.0000 [2 per cell]
2 Cu 0.0000 0.0000 0.5000 [1 per cell]
3 Br 0.0000 0.5000 0.5000 [2 per cell]
4 Cl 0.0000 0.0000 0.0000 [1 per cell]
5 Cl 0.5000 0.5000 0.0000 [1 per cell]

---

Entry 5:
# Na2CuBrCl2
Theoretical PXRD pattern, copper Kα. Input: a cell relaxed with PBE.

Most intense lines, 2θ from 5° to 70°, low angle first:
hkl, Position (°2θ), I/Imax
1 1 0, 13.67, 53.0
2 0 0, 13.95, 81.9
3 1 0, 24.12, 100.0
0 0 2, 25.54, 65.5
0 2 1, 26.90, 39.0
3 1 1, 27.35, 51.3
3 3 0, 41.83, 59.8
3 1 3, 46.15, 53.0

Cell and atoms:
a b c (Å): 12.6955 7.5339 6.9754
angles (deg): 90.00 90.00 90.00
Space group Cmc2_1 (No. 36)
Unique sites:
1 Na 0.1653 0.1744 0.0000 [8 per cell]
2 Cu 0.0000 0.3221 0.5270 [4 per cell]
3 Br 0.0000 0.3761 0.1749 [4 per cell]
4 Cl 0.1536 0.1684 0.6127 [8 per cell]

---

Entry 6:
# Rb3Cu2Br2Cl5
Theoretical PXRD pattern, copper Kα. Input: a cell relaxed with PBE.

Most intense lines, 2θ from 5° to 70°, low angle first:
hkl, Position (°2θ), I/Imax
1 1 0, 25.24, 95.3
1 0 7, 29.67, 31.6
1 1 6, 32.51, 79.9
0 0 10, 33.91, 25.3
2 0 0, 36.00, 100.0
2 0 10, 50.29, 30.6
2 2 0, 51.82, 33.0
3 1 6, 62.53, 28.2

Cell and atoms:
a b c (Å): 4.9898 4.9898 26.4358
angles (deg): 90.00 90.00 90.00
Space group I4/mmm (No. 139)
Unique sites:
1 Rb 0.0000 0.0000 0.0000 [2 per cell]
2 Rb 0.0000 0.0000 0.1759 [4 per cell]
3 Cu 0.0000 0.0000 0.4088 [4 per cell]
4 Br 0.0000 0.0000 0.3120 [4 per cell]
5 Cl 0.0000 0.0000 0.5000 [2 per cell]
6 Cl 0.0000 0.5000 0.0896 [8 per cell]

---

Entry 7:
# Rb2CuBrCl3
Theoretical PXRD pattern, copper Kα. Input: a cell relaxed with PBE.

Most intense lines, 2θ from 5° to 70°, low angle first:
hkl, Position (°2θ), I/Imax
0 0 2, 10.93, 29.7
2 0 0, 24.24, 100.0
1 1 5, 32.59, 30.1
2 0 4, 32.94, 70.6
0 0 6, 33.20, 24.4
2 2 0, 34.55, 81.8
2 2 6, 48.67, 28.9
4 0 0, 49.66, 26.2

Cell and atoms:
a b c (Å): 7.3411 7.3442 16.1886
angles (deg): 90.00 90.00 90.00
Space group Aea2 (No. 41)
Unique sites:
1 Rb 0.0000 0.0000 0.0000 [4 per cell]
2 Rb 0.0000 0.0000 0.2704 [4 per cell]
3 Cu 0.0000 0.0000 0.6289 [4 per cell]
4 Br 0.0000 0.0000 0.7869 [4 per cell]
5 Cl 0.0000 0.0000 0.4827 [4 per cell]
6 Cl 0.2189 0.2192 0.6318 [8 per cell]

---

Entry 8:
# Rb2CuBrCl3
Theoretical PXRD pattern, copper Kα. Input: a cell relaxed with PBE.

Most intense lines, 2θ from 5° to 70°, low angle first:
hkl, Position (°2θ), I/Imax
0 0 2, 11.08, 83.2
1 0 3, 24.15, 64.7
1 1 0, 24.45, 62.6
1 1 4, 33.30, 100.0
0 0 6, 33.67, 42.2
0 2 0, 34.56, 60.1
2 0 0, 35.14, 57.3
2 2 0, 50.11, 39.2

Cell and atoms:
a b c (Å): 5.1081 5.1906 15.9706
angles (deg): 90.00 90.00 90.00
Space group Immm (No. 71)
Unique sites:
1 Rb 0.0000 0.0000 0.1423 [4 per cell]
2 Cu 0.0000 0.0000 0.5000 [2 per cell]
3 Br 0.0000 0.5000 0.5000 [2 per cell]
4 Cl 0.0000 0.0000 0.3509 [4 per cell]
5 Cl 0.0000 0.5000 0.0000 [2 per cell]